Theoretical powder X-ray diffraction pattern
Compound: ReAg2Cl6
Radiation: Cu Kα
Structure: a structure optimized by DFT (PBE)
Kinematic intensities with the Lorentz-polarization factor, no thermal factor.

Most intense lines, 2θ = 10–90°, by angle:
| two_theta | I (rel.) |
| --- | --- |
| 14.6 | 100 |
| 26.3 | 40 |
| 30.2 | 99 |
| 39.9 | 49 |
| 46.4 | 28 |
| 48.9 | 26 |

Crystal structure
```
9
Lattice="3.3912 1.9579 6.0703 -3.3912 1.9579 6.0703 0.0000 -3.9159 6.0703" Properties=species:S:1:pos:R:3 pbc="T T T"
Re 0.0000 0.0000 0.0000
Ag 0.0000 0.0000 5.6556
Ag 0.0000 0.0000 12.5554
Cl -2.3290 0.3252 7.4370
Cl -1.4461 -1.8543 10.7739
Cl 0.8828 -2.1795 7.4370
Cl -0.8828 2.1795 10.7739
Cl 1.4461 1.8543 7.4370
Cl 2.3290 -0.3252 10.7739
```